(1)
Starting from a PBE-relaxed structure, the powder XRD pattern of Cs2NaSnI5 was simulated for a wavelength of 1.5418 Å.

Structural model:
```
Cs2NaSnI5
1.0
2.4754 -11.1145 0.0000
2.4754 11.1145 0.0000
0.0000 0.0000 16.3745
Cs Na Sn I
4 2 2 10
direct
0.0938 0.9062 0.5000 Cs
0.1306 0.8694 0.1346 Cs
0.8694 0.1306 0.6345 Cs
0.9062 0.0938 0.0000 Cs
0.4360 0.5640 0.2862 Na
0.5640 0.4360 0.7862 Na
0.2194 0.7806 0.8587 Sn
0.7806 0.2194 0.3587 Sn
0.0717 0.9283 0.8958 I
0.2692 0.7308 0.4899 I
0.2991 0.7009 0.2295 I
0.3570 0.6430 0.8269 I
0.4985 0.5015 0.1237 I
0.5015 0.4985 0.6237 I
0.6430 0.3570 0.3269 I
0.7009 0.2991 0.7295 I
0.7308 0.2692 0.9899 I
0.9283 0.0717 0.3958 I
```

Largest 10 diffraction maxima, in order of rising 2θ, 15 to 90 degrees two-theta:
Position (°2θ), I/Imax
21.35, 18
24.20, 19
24.61, 100
26.41, 16
26.96, 21
28.41, 15
29.12, 15
30.80, 14
36.29, 25
46.69, 15


(2)
Starting from a PBE-relaxed structure, the powder XRD pattern of HfO2 was simulated for a wavelength of 1.5418 Å.

Structural model:
```
HfO2
1.0
4.8565 0.0000 0.0000
0.0000 5.8363 0.0000
0.0000 0.0000 16.0467
Hf O
12 24
direct
0.0000 0.0258 0.2500 Hf
0.0000 0.9742 0.7500 Hf
0.0025 0.3492 0.0842 Hf
0.0025 0.6508 0.5842 Hf
0.4975 0.1508 0.5842 Hf
0.4975 0.8492 0.0842 Hf
0.5000 0.4742 0.7500 Hf
0.5000 0.5258 0.2500 Hf
0.5025 0.1508 0.9158 Hf
0.5025 0.8492 0.4158 Hf
0.9975 0.3492 0.4158 Hf
0.9975 0.6508 0.9158 Hf
0.2037 0.3697 0.5303 O
0.2037 0.6303 0.0303 O
0.2115 0.0734 0.3625 O
0.2115 0.9266 0.8625 O
0.2205 0.3123 0.1959 O
0.2205 0.6877 0.6959 O
0.2795 0.1877 0.6959 O
0.2795 0.8123 0.1959 O
0.2885 0.4266 0.8625 O
0.2885 0.5734 0.3625 O
0.2963 0.1303 0.0303 O
0.2963 0.8697 0.5303 O
0.7037 0.1303 0.4697 O
0.7037 0.8697 0.9697 O
0.7115 0.4266 0.6375 O
0.7115 0.5734 0.1375 O
0.7205 0.1877 0.8041 O
0.7205 0.8123 0.3041 O
0.7795 0.3123 0.3041 O
0.7795 0.6877 0.8041 O
0.7885 0.0734 0.1375 O
0.7885 0.9266 0.6375 O
0.7963 0.3697 0.9697 O
0.7963 0.6303 0.4697 O
```

Largest 10 diffraction maxima, in order of rising 2θ, 15 to 90 degrees two-theta:
Position (°2θ), I/Imax
24.48, 49
26.33, 100
29.17, 63
32.77, 52
33.51, 40
35.03, 36
36.99, 38
50.80, 38
51.88, 36
62.00, 37


(3)
Starting from a PBE-relaxed structure, the powder XRD pattern of Sm3SbSe3 was simulated for a wavelength of 1.5418 Å.

Structural model:
```
Sm3SbSe3
1.0
4.2260 2.4399 7.1001
-4.2260 2.4399 7.1001
0.0000 -4.8797 7.1001
Sm Sb Se
6 2 6
direct
0.0205 0.4247 0.7895 Sm
0.2105 0.9795 0.5753 Sm
0.4247 0.7895 0.0205 Sm
0.5753 0.2105 0.9795 Sm
0.7895 0.0205 0.4247 Sm
0.9795 0.5753 0.2105 Sm
0.1656 0.1656 0.1656 Sb
0.8344 0.8344 0.8344 Sb
0.1275 0.6701 0.3753 Se
0.3299 0.6247 0.8725 Se
0.3753 0.1275 0.6701 Se
0.6247 0.8725 0.3299 Se
0.6701 0.3753 0.1275 Se
0.8725 0.3299 0.6247 Se
```

Largest 10 diffraction maxima, in order of rising 2θ, 15 to 90 degrees two-theta:
Position (°2θ), I/Imax
21.02, 34
24.51, 100
25.08, 47
32.64, 49
32.95, 100
33.47, 43
36.84, 82
43.84, 30
44.25, 25
44.80, 33


(4)
Starting from a PBE-relaxed structure, the powder XRD pattern of Tm5PuRu4 was simulated for a wavelength of 1.5418 Å.

Structural model:
```
Tm5PuRu4
1.0
7.2248 -2.3616 0.0000
7.2248 2.3616 0.0000
-0.7899 0.0000 6.5930
Tm Pu Ru
5 1 4
direct
0.0000 0.0000 0.0000 Tm
0.3292 0.3292 0.4793 Tm
0.3341 0.3341 0.9783 Tm
0.6659 0.6659 0.0217 Tm
0.6708 0.6708 0.5207 Tm
0.0000 0.0000 0.5000 Pu
0.1526 0.1526 0.7502 Ru
0.4989 0.4989 0.2629 Ru
0.5011 0.5011 0.7371 Ru
0.8474 0.8474 0.2498 Ru
```

Largest 10 diffraction maxima, in order of rising 2θ, 15 to 90 degrees two-theta:
Position (°2θ), I/Imax
26.52, 47
27.05, 21
36.55, 100
37.62, 46
38.11, 46
39.88, 77
54.62, 31
64.95, 18
67.85, 16
69.55, 16


(5)
Starting from a PBE-relaxed structure, the powder XRD pattern of NaTlBr2 was simulated for a wavelength of 1.5418 Å.

Structural model:
```
NaTlBr2
1.0
7.8381 0.0000 0.0000
0.0000 7.8381 0.0000
0.0000 0.0000 7.8381
Na Tl Br
4 4 8
direct
0.0000 0.0000 0.0000 Na
0.0000 0.5000 0.5000 Na
0.5000 0.0000 0.5000 Na
0.5000 0.5000 0.0000 Na
0.0000 0.0000 0.5000 Tl
0.0000 0.5000 0.0000 Tl
0.5000 0.0000 0.0000 Tl
0.5000 0.5000 0.5000 Tl
0.2500 0.2500 0.2500 Br
0.2500 0.2500 0.7500 Br
0.2500 0.7500 0.2500 Br
0.2500 0.7500 0.7500 Br
0.7500 0.2500 0.2500 Br
0.7500 0.2500 0.7500 Br
0.7500 0.7500 0.2500 Br
0.7500 0.7500 0.7500 Br
```

Largest 10 diffraction maxima, in order of rising 2θ, 15 to 90 degrees two-theta:
Position (°2θ), I/Imax
19.62, 45
32.30, 100
38.08, 26
46.34, 18
50.77, 12
57.61, 38
61.47, 9
67.61, 12
71.17, 9
76.93, 16


(6)
Starting from a PBE-relaxed structure, the powder XRD pattern of Pr6DyIn5 was simulated for a wavelength of 1.5418 Å.

Structural model:
```
Pr6DyIn5
1.0
-2.5511 4.5972 7.7083
2.5511 -4.5972 7.7083
2.5511 4.5972 -7.7083
Pr Dy In
6 1 5
direct
0.0686 0.3291 0.7394 Pr
0.2340 0.0000 0.2340 Pr
0.4103 0.6709 0.7394 Pr
0.5897 0.3291 0.2606 Pr
0.7660 0.0000 0.7660 Pr
0.9314 0.6709 0.2606 Pr
0.5000 0.5000 0.0000 Dy
0.0000 0.5000 0.5000 In
0.1722 0.1722 0.0000 In
0.3474 0.8474 0.5000 In
0.6526 0.1526 0.5000 In
0.8278 0.8278 0.0000 In
```

Largest 10 diffraction maxima, in order of rising 2θ, 15 to 90 degrees two-theta:
Position (°2θ), I/Imax
31.45, 100
34.92, 18
35.18, 19
39.19, 13
50.41, 13
53.67, 11
60.46, 14
60.80, 15
65.65, 11
66.23, 10


(7)
Starting from a PBE-relaxed structure, the powder XRD pattern of La5Pr3Sm2 was simulated for a wavelength of 1.5418 Å.

Structural model:
```
La5Pr3Sm2
1.0
5.5997 -7.4781 0.0000
5.5997 7.4781 0.0000
-5.5878 0.0000 8.7095
La Pr Sm
10 6 4
direct
0.0222 0.9778 0.7500 La
0.1312 0.3786 0.7583 La
0.2304 0.7696 0.7500 La
0.2755 0.7245 0.2500 La
0.3786 0.1312 0.2583 La
0.6214 0.8688 0.7417 La
0.7245 0.2755 0.7500 La
0.7696 0.2304 0.2500 La
0.8688 0.6214 0.2417 La
0.9778 0.0222 0.2500 La
0.0265 0.2765 0.0568 Pr
0.2765 0.0265 0.5568 Pr
0.4823 0.5177 0.2500 Pr
0.5177 0.4823 0.7500 Pr
0.7235 0.9735 0.4432 Pr
0.9735 0.7235 0.9432 Pr
0.2192 0.4683 0.4405 Sm
0.4683 0.2192 0.9405 Sm
0.5317 0.7808 0.0595 Sm
0.7808 0.5317 0.5595 Sm
```

Largest 10 diffraction maxima, in order of rising 2θ, 15 to 90 degrees two-theta:
Position (°2θ), I/Imax
28.58, 94
30.53, 100
31.54, 20
31.96, 48
33.10, 18
34.81, 25
48.11, 22
58.93, 24
60.97, 26
68.41, 16


(8)
Starting from a PBE-relaxed structure, the powder XRD pattern of SrAg2PbI6 was simulated for a wavelength of 1.5418 Å.

Structural model:
```
SrAg2PbI6
1.0
8.1119 0.0000 0.0000
-4.0555 7.0256 0.0000
-0.0008 -4.6810 7.6505
Sr Ag Pb I
1 2 1 6
direct
0.0000 0.0000 0.0000 Sr
0.2482 0.4966 0.7447 Ag
0.7518 0.5033 0.2547 Ag
0.4999 0.0001 0.5001 Pb
0.0941 0.5035 0.2549 I
0.2518 0.1578 0.7480 I
0.4097 0.1601 0.2540 I
0.5900 0.8432 0.7490 I
0.7495 0.8436 0.2534 I
0.9055 0.4957 0.7498 I
```

Largest 10 diffraction maxima, in order of rising 2θ, 15 to 90 degrees two-theta:
Position (°2θ), I/Imax
19.98, 47
23.25, 21
24.85, 100
29.82, 23
32.16, 24
37.31, 22
38.44, 58
41.84, 24
45.41, 21
62.72, 27


(9)
Starting from a PBE-relaxed structure, the powder XRD pattern of TbGdGaPd was simulated for a wavelength of 1.5418 Å.

Structural model:
```
TbGdGaPd
1.0
7.1574 0.0000 0.0000
0.0000 7.1574 0.0000
0.0000 0.0000 7.1574
Tb Gd Ga Pd
4 4 4 4
direct
0.0000 0.0000 0.0000 Tb
0.0000 0.5000 0.5000 Tb
0.5000 0.0000 0.5000 Tb
0.5000 0.5000 0.0000 Tb
0.0000 0.0000 0.5000 Gd
0.0000 0.5000 0.0000 Gd
0.5000 0.0000 0.0000 Gd
0.5000 0.5000 0.5000 Gd
0.2500 0.2500 0.2500 Ga
0.2500 0.7500 0.7500 Ga
0.7500 0.2500 0.7500 Ga
0.7500 0.7500 0.2500 Ga
0.2500 0.2500 0.7500 Pd
0.2500 0.7500 0.2500 Pd
0.7500 0.2500 0.2500 Pd
0.7500 0.7500 0.7500 Pd
```

Largest 10 diffraction maxima, in order of rising 2θ, 15 to 90 degrees two-theta:
Position (°2θ), I/Imax
21.50, 1
24.88, 8
35.47, 100
43.82, 3
51.04, 18
57.59, 4
63.70, 36
75.08, 11
80.52, 2
85.88, 16


(10)
Starting from a PBE-relaxed structure, the powder XRD pattern of TbDy12Y5 was simulated for a wavelength of 1.5418 Å.

Structural model:
```
TbDy12Y5
1.0
7.5264 -7.5401 0.0000
7.5264 7.5401 0.0000
0.0000 0.0000 5.0200
Tb Dy Y
1 12 5
direct
0.0000 0.0000 0.0000 Tb
0.0010 0.3340 0.0000 Dy
0.1658 0.4991 0.5000 Dy
0.1673 0.1673 0.5000 Dy
0.3325 0.3325 0.0000 Dy
0.3340 0.0010 0.0000 Dy
0.4991 0.1658 0.5000 Dy
0.5009 0.8342 0.5000 Dy
0.6660 0.9990 0.0000 Dy
0.6675 0.6675 0.0000 Dy
0.8327 0.8327 0.5000 Dy
0.8342 0.5009 0.5000 Dy
0.9990 0.6660 0.0000 Dy
0.1663 0.8337 0.5000 Y
0.3334 0.6666 0.0000 Y
0.5000 0.5000 0.5000 Y
0.6666 0.3334 0.0000 Y
0.8337 0.1663 0.5000 Y
```

Largest 10 diffraction maxima, in order of rising 2θ, 15 to 90 degrees two-theta:
Position (°2θ), I/Imax
25.77, 3
30.84, 100
35.76, 50
51.47, 36
61.22, 42
64.26, 12
75.82, 4
84.01, 17
86.67, 8
86.77, 8


(11)
Starting from a PBE-relaxed structure, the powder XRD pattern of Pm3NdTm6 was simulated for a wavelength of 1.5418 Å.

Structural model:
```
Pm3NdTm6
1.0
5.5240 -9.4564 0.0000
5.5240 9.4564 0.0000
0.0000 0.0000 6.1972
Pm Nd Tm
6 2 12
direct
0.1075 0.8925 0.5000 Pm
0.2167 0.4350 0.8959 Pm
0.4350 0.2167 0.3959 Pm
0.5650 0.7833 0.8959 Pm
0.7833 0.5650 0.3959 Pm
0.8925 0.1075 0.0000 Pm
0.2933 0.7067 0.5846 Nd
0.7067 0.2933 0.0846 Nd
0.0403 0.4638 0.3024 Tm
0.1163 0.2137 0.4643 Tm
0.2137 0.1163 0.9643 Tm
0.2158 0.7842 0.0734 Tm
0.4539 0.5461 0.3467 Tm
0.4638 0.0403 0.8024 Tm
0.5362 0.9597 0.3024 Tm
0.5461 0.4539 0.8467 Tm
0.7842 0.2158 0.5734 Tm
0.7863 0.8837 0.4643 Tm
0.8837 0.7863 0.9643 Tm
0.9597 0.5362 0.8024 Tm
```

Largest 10 diffraction maxima, in order of rising 2θ, 15 to 90 degrees two-theta:
Position (°2θ), I/Imax
28.06, 25
28.59, 25
28.75, 79
30.34, 36
31.62, 83
31.85, 100
33.15, 25
34.52, 57
35.86, 21
51.01, 23


(12)
Starting from a PBE-relaxed structure, the powder XRD pattern of Tb4Ga3Cu was simulated for a wavelength of 1.5418 Å.

Structural model:
```
Tb4Ga3Cu
1.0
5.0322 0.0000 0.0000
0.0000 5.0322 0.0000
0.0000 0.0000 7.1980
Tb Ga Cu
4 3 1
direct
0.0000 0.5000 0.2472 Tb
0.0000 0.5000 0.7528 Tb
0.5000 0.0000 0.2472 Tb
0.5000 0.0000 0.7528 Tb
0.0000 0.0000 0.0000 Ga
0.0000 0.0000 0.5000 Ga
0.5000 0.5000 0.5000 Ga
0.5000 0.5000 0.0000 Cu
```

Largest 10 diffraction maxima, in order of rising 2θ, 15 to 90 degrees two-theta:
Position (°2θ), I/Imax
24.74, 9
25.03, 17
35.48, 100
35.68, 49
50.73, 9
51.36, 17
63.57, 18
63.97, 35
75.08, 11
85.40, 8